Diffraction record for Al5Cu3O12. The PXRD pattern is calculated, not measured: it uses DFT lattice parameters and positions (PBE) and Cu Kα (λ = 1.5418 Å).

Principal peaks in the range 2θ = 10–90°, in order of rising 2θ:
d_spacing  intensity
4.713  27
2.899  91
2.885  75
2.474  47
2.465  100
2.461  55
1.667  33
1.572  31
1.449  32
1.442  48

Structural model:
Lattice parameters (Å, degrees): 5.794 5.794 14.165 90.30 90.30 59.67
Fractional coordinates of all 40 atoms:
Al1 0.000 0.500 0.500
Al2 0.165 0.669 0.836
Al3 0.166 0.166 0.836
Al4 0.331 0.835 0.164
Al5 0.336 0.336 0.666
Al6 0.500 0.000 0.500
Al7 0.664 0.664 0.334
Al8 0.669 0.165 0.836
Al9 0.834 0.834 0.164
Al10 0.835 0.331 0.164
Cu1 0.002 0.002 0.380
Cu2 0.333 0.333 0.043
Cu3 0.335 0.335 0.294
Cu4 0.665 0.665 0.706
Cu5 0.667 0.667 0.957
Cu6 0.998 0.998 0.620
O1 0.000 0.000 0.237
O2 0.000 0.000 0.763
O3 0.040 0.479 0.755
O4 0.158 0.635 0.586
O5 0.159 0.159 0.098
O6 0.159 0.681 0.098
O7 0.184 0.184 0.579
O8 0.318 0.318 0.427
O9 0.319 0.841 0.902
O10 0.334 0.334 0.905
O11 0.365 0.842 0.414
O12 0.479 0.040 0.755
O13 0.480 0.480 0.755
O14 0.520 0.520 0.245
O15 0.521 0.960 0.245
O16 0.635 0.158 0.586
O17 0.666 0.666 0.095
O18 0.681 0.159 0.098
O19 0.682 0.682 0.573
O20 0.816 0.816 0.421
O21 0.841 0.319 0.902
O22 0.841 0.841 0.902
O23 0.842 0.365 0.414
O24 0.960 0.521 0.245